Record 1
For ReP4, a DFT-relaxed cell (GGA-PBE, the Materials Project) gives the simulated XRD peak list in this record (CuKα).
No peak broadening, texture or thermal motion is included.

Structural model:
```
data_ReP4
_chemical_formula_sum 'Re8 P32'
_cell_length_a 6.269
_cell_length_b 9.294
_cell_length_c 10.937
_cell_angle_alpha 90.00
_cell_angle_beta 90.00
_cell_angle_gamma 90.00
_symmetry_space_group_name_H-M 'P b c a'
_symmetry_Int_Tables_number 61
loop_
_symmetry_equiv_pos_as_xyz
'x,y,z'
'-x,-y,-z'
'-x+1/2,-y,z+1/2'
'x+1/2,y,-z+1/2'
'x+1/2,-y+1/2,-z'
'-x+1/2,y+1/2,z'
'-x,y+1/2,-z+1/2'
'x,-y+1/2,z+1/2'
loop_
_atom_site_label
_atom_site_fract_x
_atom_site_fract_y
_atom_site_fract_z
Re1 0.122 0.110 0.076
P1 0.001 0.709 0.069
P2 0.062 0.218 0.736
P3 0.188 0.552 0.738
P4 0.245 0.544 0.418
```

Top 8 peaks for 2θ from 10° to 90°, sorted by position:
hkl  Position (°2θ)  d [Å]  I/Imax
1 1 1  18.9  4.694  68
1 0 2  21.6  4.121  24
1 2 1  25.2  3.533  45
2 1 0  30.1  2.970  26
0 2 3  31.2  2.868  100
2 1 3  39.1  2.303  23
1 3 4  46.6  1.950  28
1 5 1  52.0  1.760  22

Record 2
For Re3P4, a DFT-relaxed cell (GGA-PBE, the Materials Project) gives the simulated XRD peak list in this record (CuKα).
No peak broadening, texture or thermal motion is included.

Structural model:
```
data_Re3P4
_chemical_formula_sum 'Re6 P8'
_cell_length_a 12.275
_cell_length_b 3.032
_cell_length_c 6.083
_cell_angle_alpha 90.00
_cell_angle_beta 113.90
_cell_angle_gamma 90.00
_symmetry_space_group_name_H-M 'C 1 2/m 1'
_symmetry_Int_Tables_number 12
loop_
_symmetry_equiv_pos_as_xyz
'x,y,z'
'-x,-y,-z'
'-x,y,-z'
'x,-y,z'
'x+1/2,y+1/2,z'
'-x+1/2,-y+1/2,-z'
'-x+1/2,y+1/2,-z'
'x+1/2,-y+1/2,z'
loop_
_atom_site_label
_atom_site_fract_x
_atom_site_fract_y
_atom_site_fract_z
Re1 0.000 0.000 0.000
Re2 0.236 0.500 0.681
P1 0.085 0.000 0.436
P2 0.149 0.500 0.976
```

Top 8 peaks for 2θ from 10° to 90°, sorted by position:
hkl  Position (°2θ)  d [Å]  I/Imax
2 0 -1  17.3  5.122  65
2 0 1  26.8  3.332  44
2 0 -2  29.5  3.027  53
4 0 0  31.9  2.806  50
1 1 -1  33.0  2.711  100
3 1 1  45.5  1.994  48
1 1 2  47.4  1.917  41
5 1 -1  47.7  1.908  61

Record 3
For Zr9Re4P, a DFT-relaxed cell (GGA-PBE, the Materials Project) gives the simulated XRD peak list in this record (CuKα).
No peak broadening, texture or thermal motion is included.

Structural model:
```
data_Zr9Re4P
_chemical_formula_sum 'Zr18 Re8 P2'
_cell_length_a 8.5976
_cell_length_b 8.5976
_cell_length_c 8.8016
_cell_angle_alpha 90.00
_cell_angle_beta 90.00
_cell_angle_gamma 120.00
_symmetry_space_group_name_H-M 'P 63/m m c'
_symmetry_Int_Tables_number 194
_symmetry_space_group_name_Hall '-P 6c 2c'
loop_
_atom_site_label
_atom_site_fract_x
_atom_site_fract_y
_atom_site_fract_z
Zr1 0.0726 0.5363 0.2500
Zr2 0.1979 0.3958 0.5482
Re1 0.0000 0.0000 0.0000
Re2 0.1068 0.2137 0.2500
P1 0.3333 0.6667 0.7500
```

Top 8 peaks for 2θ from 10° to 90°, sorted by position:
hkl  Position (°2θ)  d [Å]  I/Imax
1 0 0  11.9  7.446  100
3 0 1  37.7  2.389  61
2 1 2  38.0  2.371  96
2 0 3  39.1  2.304  33
0 0 4  41.0  2.200  19
2 2 0  42.0  2.149  14
3 0 5  64.9  1.436  22
5 0 2  66.3  1.411  17

Record 4
For P2Rh, a DFT-relaxed cell (GGA-PBE, the Materials Project) gives the simulated XRD peak list in this record (CuKα).
No peak broadening, texture or thermal motion is included.

Structural model:
```
data_P2Rh
_chemical_formula_sum 'P8 Rh4'
_cell_length_a 5.792
_cell_length_b 5.844
_cell_length_c 5.891
_cell_angle_alpha 90.00
_cell_angle_beta 112.39
_cell_angle_gamma 90.00
_symmetry_space_group_name_H-M 'P 1 21/c 1'
_symmetry_Int_Tables_number 14
loop_
_symmetry_equiv_pos_as_xyz
'x,y,z'
'-x,-y,-z'
'-x,y+1/2,-z+1/2'
'x,-y+1/2,z+1/2'
loop_
_atom_site_label
_atom_site_fract_x
_atom_site_fract_y
_atom_site_fract_z
P1 0.160 0.121 0.368
P2 0.334 0.623 0.688
Rh1 0.272 0.501 0.290
```

Top 8 peaks for 2θ from 10° to 90°, sorted by position:
hkl  Position (°2θ)  d [Å]  I/Imax
1 1 -1  23.8  3.734  100
0 2 0  30.6  2.922  48
0 0 2  32.9  2.724  42
2 0 0  33.5  2.678  49
2 2 0  46.0  1.974  25
3 1 -1  49.8  1.830  30
1 3 -1  50.5  1.808  26
1 3 1  55.0  1.671  25